Record 1
# Sm4O3F6
Simulated X-ray diffraction stick pattern, a wavelength of 1.5418 Å. Input: a cell relaxed with PBE.

Principal peaks in the range 2θ = 5–70°, sorted by position:
- 5.930 Å, I = 22
- 3.718 Å, I = 52
- 3.630 Å, I = 81
- 3.543 Å, I = 27
- 3.141 Å, I = 100
- 3.031 Å, I = 19
- 2.904 Å, I = 97
- 2.340 Å, I = 29
- 1.865 Å, I = 47
- 1.852 Å, I = 29

Crystal structure
Lattice parameters (Å, degrees): 4.6814 3.7039 47.4533 90.00 91.42 90.00
Positions (direct):
Sm  0.0000  0.0000  0.0000
Sm  0.0079  0.0000  0.8632
Sm  0.0263  0.0000  0.1161
Sm  0.0455  0.0000  0.2323
Sm  0.0660  0.0000  0.7344
Sm  0.0734  0.0000  0.3485
Sm  0.1062  0.0000  0.4638
Sm  0.1562  0.0000  0.6098
Sm  0.4395  0.5000  0.9250
Sm  0.4757  0.5000  0.7934
Sm  0.5122  0.5000  0.0462
Sm  0.5335  0.5000  0.1622
Sm  0.5550  0.5000  0.2785
Sm  0.5890  0.5000  0.3944
Sm  0.6325  0.5000  0.5162
Sm  0.6838  0.5000  0.6621
O  0.0065  0.5000  0.0256
O  0.0163  0.5000  0.4863
O  0.0320  0.5000  0.1419
O  0.0498  0.5000  0.2582
O  0.0565  0.5000  0.6331
O  0.0793  0.5000  0.3744
O  0.1069  0.5000  0.8920
O  0.2248  0.5000  0.7500
O  0.5040  0.0000  0.0177
O  0.5285  0.0000  0.1333
O  0.5478  0.0000  0.2496
O  0.5780  0.0000  0.3656
F  0.1416  0.5000  0.8320
F  0.1921  0.0000  0.7894
F  0.2063  0.0000  0.9478
F  0.2741  0.0000  0.0743
F  0.2917  0.0000  0.1903
F  0.3131  0.0000  0.3063
F  0.3266  0.0000  0.5689
F  0.3278  0.0000  0.5145
F  0.3512  0.0000  0.4222
F  0.4049  0.0000  0.6561
F  0.4986  0.0000  0.8628
F  0.4999  0.0000  0.7085
F  0.6099  0.0000  0.4743
F  0.6647  0.0000  0.6144
F  0.6756  0.0000  0.9107
F  0.6766  0.0000  0.7629
F  0.6995  0.0000  0.9635
F  0.7060  0.0000  0.8167
F  0.7689  0.0000  0.0737
F  0.7860  0.0000  0.1900
F  0.8073  0.0000  0.3066
F  0.8191  0.0000  0.5380
F  0.8456  0.0000  0.4218
F  0.9339  0.0000  0.6814

---

Record 2
# SmOF
Simulated X-ray diffraction stick pattern, a wavelength of 1.5418 Å. Input: a cell relaxed with PBE.

Principal peaks in the range 2θ = 5–70°, sorted by position:
- 3.269 Å, I = 31
- 3.213 Å, I = 100
- 2.795 Å, I = 37
- 1.989 Å, I = 33
- 1.964 Å, I = 38
- 1.699 Å, I = 12
- 1.683 Å, I = 27
- 1.676 Å, I = 15
- 1.607 Å, I = 8
- 1.397 Å, I = 10

Crystal structure
Lattice parameters (Å, degrees): 6.9209 6.9209 6.9209 32.97 32.97 32.97
Positions (direct):
Sm  0.2413  0.2413  0.2413
Sm  0.7587  0.7587  0.7587
O  0.1220  0.1220  0.1220
O  0.8780  0.8780  0.8780
F  0.3702  0.3702  0.3702
F  0.6298  0.6298  0.6298

---

Record 3
# Sn3O2F2
Simulated X-ray diffraction stick pattern, a wavelength of 1.5418 Å. Input: a cell relaxed with PBE.

Principal peaks in the range 2θ = 5–70°, sorted by position:
- 7.258 Å, I = 89
- 4.900 Å, I = 57
- 3.669 Å, I = 56
- 3.412 Å, I = 100
- 2.987 Å, I = 56
- 2.966 Å, I = 77
- 2.768 Å, I = 77
- 2.716 Å, I = 70
- 2.552 Å, I = 91
- 2.023 Å, I = 85

Crystal structure
Lattice parameters (Å, degrees): 11.5060 5.5356 9.3530 90.00 90.00 90.00
Positions (direct):
Sn  0.0765  0.2500  0.1986
Sn  0.0792  0.2500  0.5805
Sn  0.2232  0.7500  0.3544
Sn  0.2768  0.2500  0.8544
Sn  0.4208  0.7500  0.0805
Sn  0.4235  0.7500  0.6986
Sn  0.5765  0.2500  0.3014
Sn  0.5792  0.2500  0.9195
Sn  0.7232  0.7500  0.1456
Sn  0.7768  0.2500  0.6456
Sn  0.9208  0.7500  0.4195
Sn  0.9235  0.7500  0.8014
O  0.0797  0.0051  0.3892
O  0.0797  0.4949  0.3892
O  0.4203  0.5051  0.8892
O  0.4203  0.9949  0.8892
O  0.5797  0.0051  0.1108
O  0.5797  0.4949  0.1108
O  0.9203  0.5051  0.6108
O  0.9203  0.9949  0.6108
F  0.1492  0.7500  0.1474
F  0.2408  0.7500  0.7043
F  0.2592  0.2500  0.2043
F  0.3508  0.2500  0.6474
F  0.6492  0.7500  0.3526
F  0.7408  0.7500  0.7957
F  0.7592  0.2500  0.2957
F  0.8508  0.2500  0.8526

---

Record 4
# Sn2OF2
Simulated X-ray diffraction stick pattern, a wavelength of 1.5418 Å. Input: a cell relaxed with PBE.

Principal peaks in the range 2θ = 5–70°, sorted by position:
- 3.708 Å, I = 83
- 3.270 Å, I = 83
- 3.210 Å, I = 100
- 3.074 Å, I = 78
- 2.615 Å, I = 20
- 2.593 Å, I = 26
- 2.068 Å, I = 34
- 1.961 Å, I = 43
- 1.906 Å, I = 29
- 1.854 Å, I = 25

Crystal structure
Lattice parameters (Å, degrees): 6.2290 6.2290 5.2280 95.45 95.45 81.99
Positions (direct):
Sn  0.2027  0.7973  0.0000
Sn  0.2812  0.2812  0.4878
Sn  0.7188  0.7188  0.5122
Sn  0.7973  0.2027  0.0000
O  0.1080  0.1080  0.1945
O  0.8920  0.8920  0.8055
F  0.0087  0.6423  0.2989
F  0.3577  0.9913  0.7011
F  0.6423  0.0087  0.2989
F  0.9913  0.3577  0.7011

---

Record 5
# Sn3O2F2
Simulated X-ray diffraction stick pattern, a wavelength of 1.5418 Å. Input: a cell relaxed with PBE.

Principal peaks in the range 2θ = 5–70°, sorted by position:
- 7.766 Å, I = 38
- 6.209 Å, I = 40
- 4.162 Å, I = 81
- 3.193 Å, I = 100
- 2.888 Å, I = 50
- 2.850 Å, I = 84
- 2.804 Å, I = 64
- 2.716 Å, I = 46
- 1.991 Å, I = 54
- 1.523 Å, I = 41

Crystal structure
Lattice parameters (Å, degrees): 15.5327 5.6087 6.7738 90.00 90.00 90.00
Positions (direct):
Sn  0.0359  0.2500  0.1586
Sn  0.0992  0.2500  0.6646
Sn  0.1816  0.7500  0.0104
Sn  0.3184  0.2500  0.5104
Sn  0.4008  0.7500  0.1646
Sn  0.4641  0.7500  0.6586
Sn  0.5359  0.2500  0.3414
Sn  0.5992  0.2500  0.8354
Sn  0.6816  0.7500  0.4896
Sn  0.8184  0.2500  0.9896
Sn  0.9008  0.7500  0.3354
Sn  0.9641  0.7500  0.8414
O  0.0816  0.5008  0.9084
O  0.0816  0.9992  0.9084
O  0.4184  0.0008  0.4084
O  0.4184  0.4992  0.4084
O  0.5816  0.5008  0.5916
O  0.5816  0.9992  0.5916
O  0.9184  0.0008  0.0916
O  0.9184  0.4992  0.0916
F  0.0361  0.7500  0.3531
F  0.2419  0.7500  0.7366
F  0.2581  0.2500  0.2366
F  0.4639  0.2500  0.8531
F  0.5361  0.7500  0.1469
F  0.7419  0.7500  0.7634
F  0.7581  0.2500  0.2634
F  0.9639  0.2500  0.6469

---

Record 6
# Sn2OF2
Simulated X-ray diffraction stick pattern, a wavelength of 1.5418 Å. Input: a cell relaxed with PBE.

Principal peaks in the range 2θ = 5–70°, sorted by position:
- 5.686 Å, I = 11
- 3.275 Å, I = 100
- 2.843 Å, I = 24
- 2.421 Å, I = 8
- 2.220 Å, I = 9
- 2.010 Å, I = 17
- 2.003 Å, I = 21
- 1.750 Å, I = 12
- 1.713 Å, I = 26
- 1.667 Å, I = 10

Crystal structure
Lattice parameters (Å, degrees): 8.0411 8.0411 5.6457 90.00 90.00 90.00
Positions (direct):
Sn  0.0249  0.2500  0.0591
Sn  0.2500  0.0249  0.5591
Sn  0.2500  0.4751  0.5591
Sn  0.4751  0.2500  0.0591
Sn  0.5249  0.7500  0.9409
Sn  0.7500  0.5249  0.4409
Sn  0.7500  0.9751  0.4409
Sn  0.9751  0.7500  0.9409
O  0.2500  0.2500  0.3517
O  0.2500  0.2500  0.8517
O  0.7500  0.7500  0.1483
O  0.7500  0.7500  0.6483
F  0.0460  0.5460  0.2500
F  0.0460  0.9540  0.2500
F  0.4540  0.5460  0.2500
F  0.4540  0.9540  0.2500
F  0.5460  0.0460  0.7500
F  0.5460  0.4540  0.7500
F  0.9540  0.0460  0.7500
F  0.9540  0.4540  0.7500